Entry 1:
Structure and computed X-ray powder pattern of CuH2Cl2 (a GGA-PBE-relaxed structure; Cu Kα (λ = 1.5418 Å)).

Cell and atoms:
Unit cell a=6.713 b=3.978 c=6.620 alpha=90.00 beta=90.00 gamma=90.00
Fractional coordinates of all 10 atoms:
Cu1 0.000 0.000 0.000
Cu2 0.500 0.000 0.500
H1 0.237 0.000 0.000
H2 0.263 0.000 0.500
H3 0.737 0.000 0.500
H4 0.763 0.000 0.000
Cl1 0.000 0.190 0.293
Cl2 0.000 0.810 0.707
Cl3 0.500 0.190 0.207
Cl4 0.500 0.810 0.793

The 10 most intense peaks (2θ from 15° to 90°), by angle:
- 18.83°, rel. 56.1
- 22.35°, rel. 79.3
- 26.14°, rel. 47.4
- 26.56°, rel. 100.0
- 29.38°, rel. 61.3
- 34.98°, rel. 41.9
- 37.60°, rel. 31.7
- 43.16°, rel. 37.8
- 49.13°, rel. 27.3
- 49.76°, rel. 23.4

=====

Entry 2:
Structure and computed X-ray powder pattern of BaZrSe3 (a GGA-PBE-relaxed structure; Cu Kα (λ = 1.5418 Å)).

Cell and atoms:
Unit cell a=5.287 b=5.296 c=5.309 alpha=89.89 beta=89.91 gamma=89.96
Fractional coordinates of all 5 atoms:
Ba1 0.000 0.000 0.000
Zr1 0.478 0.492 0.478
Se1 0.490 0.000 0.504
Se2 0.494 0.503 0.995
Se3 0.985 0.513 0.520

The 10 most intense peaks (2θ from 15° to 90°), by angle:
- 23.75°, rel. 68.0
- 29.20°, rel. 100.0
- 33.81°, rel. 91.9
- 33.91°, rel. 45.9
- 41.80°, rel. 17.4
- 48.56°, rel. 47.6
- 48.66°, rel. 48.2
- 57.72°, rel. 21.9
- 60.50°, rel. 15.8
- 60.58°, rel. 16.6

=====

Entry 3:
Structure and computed X-ray powder pattern of Pu2SnPt2 (a GGA-PBE-relaxed structure; Cu Kα (λ = 1.5418 Å)).

Cell and atoms:
Unit cell a=7.689 b=7.689 c=3.654 alpha=90.00 beta=90.00 gamma=90.00
Fractional coordinates of all 10 atoms:
Pu1 0.171 0.329 0.000
Pu2 0.329 0.829 0.000
Pu3 0.671 0.171 0.000
Pu4 0.829 0.671 0.000
Sn1 0.000 0.000 0.500
Sn2 0.500 0.500 0.500
Pt1 0.131 0.631 0.500
Pt2 0.369 0.131 0.500
Pt3 0.631 0.869 0.500
Pt4 0.869 0.369 0.500

The 10 most intense peaks (2θ from 15° to 90°), by angle:
- 16.30°, rel. 11.2
- 33.84°, rel. 17.7
- 35.86°, rel. 100.0
- 36.97°, rel. 35.5
- 49.92°, rel. 12.1
- 50.35°, rel. 8.4
- 55.31°, rel. 13.4
- 63.71°, rel. 15.0
- 70.86°, rel. 14.5
- 84.36°, rel. 9.2

=====

Entry 4:
Structure and computed X-ray powder pattern of Sm3Si2Rh2 (a GGA-PBE-relaxed structure; Cu Kα (λ = 1.5418 Å)).

Cell and atoms:
Unit cell a=5.655 b=7.940 c=13.240 alpha=90.00 beta=90.00 gamma=90.00
Fractional coordinates of all 28 atoms:
Sm1 0.139 0.110 0.102
Sm2 0.139 0.110 0.398
Sm3 0.139 0.390 0.602
Sm4 0.139 0.390 0.898
Sm5 0.361 0.747 0.750
Sm6 0.361 0.753 0.250
Sm7 0.639 0.247 0.750
Sm8 0.639 0.253 0.250
Sm9 0.861 0.610 0.102
Sm10 0.861 0.610 0.398
Sm11 0.861 0.890 0.602
Sm12 0.861 0.890 0.898
Si1 0.151 0.100 0.750
Si2 0.151 0.400 0.250
Si3 0.371 0.750 0.000
Si4 0.371 0.750 0.500
Si5 0.629 0.250 0.000
Si6 0.629 0.250 0.500
Si7 0.849 0.600 0.750
Si8 0.849 0.900 0.250
Rh1 0.373 0.033 0.591
Rh2 0.373 0.033 0.909
Rh3 0.373 0.467 0.091
Rh4 0.373 0.467 0.409
Rh5 0.627 0.533 0.591
Rh6 0.627 0.533 0.909
Rh7 0.627 0.967 0.091
Rh8 0.627 0.967 0.409

The 10 most intense peaks (2θ from 15° to 90°), by angle:
- 23.53°, rel. 35.1
- 26.17°, rel. 32.8
- 30.28°, rel. 26.4
- 33.33°, rel. 56.7
- 33.65°, rel. 44.4
- 34.30°, rel. 83.6
- 35.30°, rel. 41.3
- 37.52°, rel. 59.0
- 39.52°, rel. 100.0
- 40.90°, rel. 40.3

=====

Entry 5:
Structure and computed X-ray powder pattern of Ca2Ti2O5 (a GGA-PBE-relaxed structure; Cu Kα (λ = 1.5418 Å)).

Cell and atoms:
Unit cell a=8.604 b=8.604 c=8.604 alpha=54.53 beta=141.64 gamma=142.76
Fractional coordinates of all 18 atoms:
Ca1 0.027 0.108 0.135
Ca2 0.027 0.392 0.419
Ca3 0.973 0.608 0.581
Ca4 0.973 0.892 0.865
Ti1 0.488 0.788 0.199
Ti2 0.492 0.492 0.000
Ti3 0.492 0.992 0.500
Ti4 0.589 0.288 0.801
O1 0.018 0.637 0.881
O2 0.423 0.115 0.577
O3 0.423 0.346 0.808
O4 0.495 0.231 0.240
O5 0.495 0.755 0.763
O6 0.538 0.615 0.192
O7 0.538 0.846 0.423
O8 0.756 0.137 0.119
O9 0.992 0.255 0.760
O10 0.992 0.731 0.237

The 10 most intense peaks (2θ from 15° to 90°), by angle:
- 23.50°, rel. 7.8
- 31.65°, rel. 27.0
- 32.62°, rel. 100.0
- 42.22°, rel. 10.6
- 46.08°, rel. 33.0
- 47.56°, rel. 15.6
- 57.00°, rel. 13.4
- 58.21°, rel. 19.4
- 58.84°, rel. 7.1
- 68.35°, rel. 16.3

=====

Entry 6:
Structure and computed X-ray powder pattern of Mg2Cu2O5 (a GGA-PBE-relaxed structure; Cu Kα (λ = 1.5418 Å)).

Cell and atoms:
Unit cell a=7.825 b=7.825 c=7.825 alpha=56.20 beta=141.39 gamma=140.80
Fractional coordinates of all 18 atoms:
Mg1 0.002 0.119 0.120
Mg2 0.002 0.381 0.383
Mg3 0.998 0.619 0.617
Mg4 0.998 0.881 0.880
Cu1 0.448 0.448 0.000
Cu2 0.448 0.948 0.500
Cu3 0.497 0.773 0.224
Cu4 0.549 0.273 0.776
O1 0.266 0.026 0.510
O2 0.266 0.255 0.740
O3 0.471 0.163 0.222
O4 0.471 0.749 0.808
O5 0.516 0.526 0.260
O6 0.516 0.755 0.490
O7 0.765 0.132 0.133
O8 0.941 0.249 0.778
O9 0.941 0.663 0.192
O10 0.999 0.632 0.867

The 10 most intense peaks (2θ from 15° to 90°), by angle:
- 24.15°, rel. 47.8
- 25.82°, rel. 18.6
- 34.16°, rel. 29.4
- 34.68°, rel. 25.9
- 35.64°, rel. 100.0
- 49.47°, rel. 29.7
- 53.07°, rel. 13.4
- 62.12°, rel. 19.7
- 62.78°, rel. 27.5
- 64.64°, rel. 14.3

=====

Entry 7:
Structure and computed X-ray powder pattern of NaTmS2O8 (a GGA-PBE-relaxed structure; Cu Kα (λ = 1.5418 Å)).

Cell and atoms:
Unit cell a=4.759 b=6.850 c=9.897 alpha=90.00 beta=97.22 gamma=90.00
Fractional coordinates of all 24 atoms:
Na1 0.116 0.250 0.363
Na2 0.884 0.750 0.637
Tm1 0.146 0.250 0.825
Tm2 0.854 0.750 0.175
S1 0.335 0.750 0.396
S2 0.351 0.750 0.929
S3 0.649 0.250 0.071
S4 0.665 0.250 0.604
O1 0.176 0.579 0.329
O2 0.176 0.921 0.329
O3 0.240 0.575 0.852
O4 0.240 0.925 0.852
O5 0.263 0.750 0.070
O6 0.334 0.250 0.052
O7 0.340 0.750 0.544
O8 0.369 0.250 0.638
O9 0.631 0.750 0.362
O10 0.660 0.250 0.456
O11 0.666 0.750 0.948
O12 0.737 0.250 0.930
O13 0.760 0.075 0.148
O14 0.760 0.425 0.148
O15 0.824 0.079 0.671
O16 0.824 0.421 0.671

The 10 most intense peaks (2θ from 15° to 90°), by angle:
- 15.77°, rel. 100.0
- 21.89°, rel. 18.2
- 23.73°, rel. 27.4
- 24.46°, rel. 70.6
- 26.01°, rel. 59.0
- 30.78°, rel. 53.1
- 36.01°, rel. 20.5
- 38.07°, rel. 16.9
- 40.41°, rel. 21.1
- 48.97°, rel. 20.7